(1)
DyHo3Mg2: theoretical powder diffraction line list (λ = 1.5418 Å (Cu Kα)), based on the PBE geometry in OQMD.

Largest 10 diffraction maxima, sorted by position, 2θ from 5° to 70°:
| two_theta | I_rel |
| --- | --- |
| 10.31 | 20 |
| 24.97 | 18 |
| 26.44 | 27 |
| 31.27 | 20 |
| 32.89 | 30 |
| 33.47 | 100 |
| 35.44 | 16 |
| 44.50 | 14 |
| 46.02 | 14 |
| 59.10 | 20 |

Atomic structure:
```
DyHo3Mg2
1.0
5.446 0.000 0.000
0.000 1.823 8.583
0.000 -1.823 8.583
Dy Ho Mg
1 3 2
direct
0.000 0.000 0.000 Dy
0.000 0.320 0.320 Ho
0.500 0.187 0.187 Ho
0.500 0.867 0.867 Ho
0.000 0.659 0.659 Mg
0.500 0.529 0.529 Mg
```


(2)
DyHo2Mg3Tl2Zn: theoretical powder diffraction line list (λ = 1.5418 Å (Cu Kα)), based on the PBE geometry in OQMD.

Largest 10 diffraction maxima, sorted by position, 2θ from 5° to 70°:
| two_theta | I_rel |
| --- | --- |
| 13.65 | 41 |
| 23.76 | 33 |
| 30.97 | 100 |
| 33.99 | 80 |
| 36.65 | 21 |
| 39.76 | 24 |
| 41.78 | 25 |
| 41.89 | 20 |
| 50.75 | 17 |
| 59.04 | 18 |

Atomic structure:
```
DyHo2Mg3Tl2Zn
1.0
4.534 0.000 0.000
0.000 6.494 3.741
0.000 -6.494 3.741
Dy Ho Mg Tl Zn
1 2 3 2 1
direct
0.000 0.000 0.000 Dy
0.000 0.167 0.583 Ho
0.000 0.583 0.167 Ho
0.500 0.348 0.348 Mg
0.500 0.583 0.818 Mg
0.500 0.818 0.583 Mg
0.500 0.250 0.916 Tl
0.500 0.916 0.250 Tl
0.000 0.582 0.582 Zn
```


(3)
DyHoTm2Mg2: theoretical powder diffraction line list (λ = 1.5418 Å (Cu Kα)), based on the PBE geometry in OQMD.

Largest 10 diffraction maxima, sorted by position, 2θ from 5° to 70°:
| two_theta | I_rel |
| --- | --- |
| 10.31 | 24 |
| 25.23 | 17 |
| 26.48 | 27 |
| 31.27 | 20 |
| 33.00 | 30 |
| 33.70 | 100 |
| 35.47 | 19 |
| 44.69 | 14 |
| 46.09 | 14 |
| 59.37 | 20 |

Atomic structure:
```
DyHoTm2Mg2
1.0
5.429 0.000 0.000
0.000 1.803 8.582
0.000 -1.803 8.582
Dy Ho Tm Mg
1 1 2 2
direct
0.000 0.000 0.000 Dy
0.500 0.809 0.809 Ho
0.000 0.679 0.679 Tm
0.500 0.131 0.131 Tm
0.000 0.340 0.340 Mg
0.500 0.469 0.469 Mg
```


(4)
DyHo2TmMg2: theoretical powder diffraction line list (λ = 1.5418 Å (Cu Kα)), based on the PBE geometry in OQMD.

Largest 10 diffraction maxima, sorted by position, 2θ from 5° to 70°:
| two_theta | I_rel |
| --- | --- |
| 10.33 | 19 |
| 25.03 | 18 |
| 26.51 | 27 |
| 31.34 | 20 |
| 32.98 | 29 |
| 33.56 | 100 |
| 35.53 | 16 |
| 44.62 | 14 |
| 46.14 | 14 |
| 59.27 | 20 |

Atomic structure:
```
DyHo2TmMg2
1.0
5.431 0.000 0.000
0.000 1.818 8.562
0.000 -1.818 8.562
Dy Ho Tm Mg
1 2 1 2
direct
0.000 0.000 0.000 Dy
0.000 0.320 0.320 Ho
0.500 0.867 0.867 Ho
0.500 0.187 0.187 Tm
0.000 0.659 0.659 Mg
0.500 0.529 0.529 Mg
```


(5)
Dy2HoTmMg2: theoretical powder diffraction line list (λ = 1.5418 Å (Cu Kα)), based on the PBE geometry in OQMD.

Largest 10 diffraction maxima, sorted by position, 2θ from 5° to 70°:
| two_theta | I_rel |
| --- | --- |
| 10.32 | 21 |
| 25.03 | 17 |
| 26.47 | 27 |
| 31.30 | 20 |
| 32.92 | 30 |
| 33.53 | 100 |
| 35.48 | 17 |
| 44.57 | 14 |
| 46.06 | 14 |
| 59.17 | 20 |

Atomic structure:
```
Dy2HoTmMg2
1.0
5.442 0.000 0.000
0.000 1.818 8.573
0.000 -1.818 8.573
Dy Ho Tm Mg
2 1 1 2
direct
0.000 0.000 0.000 Dy
0.500 0.187 0.187 Dy
0.000 0.320 0.320 Ho
0.500 0.867 0.867 Tm
0.000 0.659 0.659 Mg
0.500 0.528 0.528 Mg
```


(6)
DyHoPbN: theoretical powder diffraction line list (λ = 1.5418 Å (Cu Kα)), based on the PBE geometry in OQMD.

Largest 10 diffraction maxima, sorted by position, 2θ from 5° to 70°:
| two_theta | I_rel |
| --- | --- |
| 29.15 | 22 |
| 29.72 | 1 |
| 33.98 | 100 |
| 34.57 | 20 |
| 45.83 | 16 |
| 51.67 | 22 |
| 60.43 | 3 |
| 61.57 | 18 |
| 63.30 | 17 |
| 63.67 | 21 |

Atomic structure:
```
DyHoPbN
1.0
3.538 0.000 0.000
-1.769 3.064 0.000
0.000 0.000 15.567
Dy Ho Pb N
2 2 2 2
direct
0.000 0.000 0.167 Dy
0.000 0.000 0.833 Dy
0.667 0.333 0.333 Ho
0.667 0.333 0.667 Ho
0.000 0.000 0.500 Pb
0.667 0.333 0.000 Pb
0.333 0.667 0.251 N
0.333 0.667 0.749 N
```


(7)
DyHo3Tl2N2: theoretical powder diffraction line list (λ = 1.5418 Å (Cu Kα)), based on the PBE geometry in OQMD.

Largest 10 diffraction maxima, sorted by position, 2θ from 5° to 70°:
| two_theta | I_rel |
| --- | --- |
| 29.32 | 22 |
| 31.50 | 1 |
| 34.05 | 100 |
| 34.26 | 21 |
| 45.70 | 16 |
| 51.99 | 21 |
| 60.81 | 3 |
| 61.21 | 19 |
| 63.62 | 17 |
| 63.75 | 21 |

Atomic structure:
```
DyHo3Tl2N2
1.0
3.518 0.000 0.000
-1.759 3.046 0.000
0.000 0.000 15.706
Dy Ho Tl N
1 3 2 2
direct
0.000 0.000 0.000 Dy
0.000 0.000 0.332 Ho
0.333 0.667 0.500 Ho
0.333 0.667 0.832 Ho
0.000 0.000 0.666 Tl
0.333 0.667 0.166 Tl
0.667 0.333 0.416 N
0.667 0.333 0.915 N
```


(8)
DyHoTlN: theoretical powder diffraction line list (λ = 1.5418 Å (Cu Kα)), based on the PBE geometry in OQMD.

Largest 10 diffraction maxima, sorted by position, 2θ from 5° to 70°:
| two_theta | I_rel |
| --- | --- |
| 29.28 | 22 |
| 31.45 | 1 |
| 34.00 | 100 |
| 34.20 | 21 |
| 45.63 | 16 |
| 51.91 | 21 |
| 60.72 | 3 |
| 61.11 | 19 |
| 63.52 | 17 |
| 63.65 | 21 |

Atomic structure:
```
DyHoTlN
1.0
3.523 0.000 0.000
-1.761 3.051 0.000
0.000 0.000 15.729
Dy Ho Tl N
2 2 2 2
direct
0.000 0.000 0.166 Dy
0.000 0.000 0.834 Dy
0.333 0.667 0.334 Ho
0.333 0.667 0.666 Ho
0.000 0.000 0.500 Tl
0.333 0.667 0.000 Tl
0.667 0.333 0.251 N
0.667 0.333 0.749 N
```


(9)
DyHoNb2Si2: theoretical powder diffraction line list (λ = 1.5418 Å (Cu Kα)), based on the PBE geometry in OQMD.

Largest 10 diffraction maxima, sorted by position, 2θ from 5° to 70°:
| two_theta | I_rel |
| --- | --- |
| 25.05 | 57 |
| 32.13 | 79 |
| 33.74 | 100 |
| 34.63 | 37 |
| 39.42 | 50 |
| 45.37 | 48 |
| 52.53 | 16 |
| 56.68 | 31 |
| 57.57 | 25 |
| 58.31 | 33 |

Atomic structure:
```
DyHoNb2Si2
1.0
3.997 0.000 0.000
0.000 3.997 0.000
0.000 0.000 7.771
Dy Ho Nb Si
1 1 2 2
direct
0.000 0.000 0.000 Dy
0.500 0.500 0.294 Ho
0.000 0.500 0.647 Nb
0.500 0.000 0.647 Nb
0.000 0.000 0.407 Si
0.500 0.500 0.886 Si
```


(10)
Dy2HoNiSn3Pt2: theoretical powder diffraction line list (λ = 1.5418 Å (Cu Kα)), based on the PBE geometry in OQMD.

Largest 10 diffraction maxima, sorted by position, 2θ from 5° to 70°:
| two_theta | I_rel |
| --- | --- |
| 33.07 | 100 |
| 35.91 | 71 |
| 36.58 | 46 |
| 41.70 | 34 |
| 43.49 | 23 |
| 46.38 | 22 |
| 56.18 | 12 |
| 60.47 | 22 |
| 64.11 | 19 |
| 67.19 | 25 |

Atomic structure:
```
Dy2HoNiSn3Pt2
1.0
3.916 0.000 0.000
0.000 6.495 3.754
0.000 -6.495 3.754
Dy Ho Ni Sn Pt
2 1 1 3 2
direct
0.000 0.203 0.797 Dy
0.000 0.797 0.203 Dy
0.000 0.393 0.393 Ho
0.000 0.797 0.797 Ni
0.500 0.046 0.046 Sn
0.500 0.548 0.797 Sn
0.500 0.797 0.548 Sn
0.500 0.132 0.464 Pt
0.500 0.464 0.132 Pt
```


(11)
DyHoSi2Ni: theoretical powder diffraction line list (λ = 1.5418 Å (Cu Kα)), based on the PBE geometry in OQMD.

Largest 10 diffraction maxima, sorted by position, 2θ from 5° to 70°:
| two_theta | I_rel |
| --- | --- |
| 23.53 | 56 |
| 26.20 | 26 |
| 27.28 | 34 |
| 34.22 | 100 |
| 34.59 | 64 |
| 34.74 | 60 |
| 35.18 | 27 |
| 37.86 | 34 |
| 42.18 | 36 |
| 43.41 | 41 |

Atomic structure:
```
DyHoSi2Ni
1.0
5.105 -2.084 0.000
5.105 2.084 0.000
-4.751 0.000 8.807
Dy Ho Si Ni
2 2 4 2
direct
0.188 0.188 0.106 Dy
0.812 0.812 0.894 Dy
0.006 0.006 0.329 Ho
0.994 0.994 0.671 Ho
0.353 0.353 0.437 Si
0.491 0.491 0.121 Si
0.509 0.509 0.879 Si
0.647 0.647 0.563 Si
0.274 0.274 0.642 Ni
0.726 0.726 0.358 Ni
```


(12)
DyHoNi2Sn: theoretical powder diffraction line list (λ = 1.5418 Å (Cu Kα)), based on the PBE geometry in OQMD.

Largest 10 diffraction maxima, sorted by position, 2θ from 5° to 70°:
| two_theta | I_rel |
| --- | --- |
| 29.55 | 41 |
| 34.01 | 100 |
| 35.81 | 67 |
| 38.78 | 33 |
| 39.54 | 35 |
| 45.43 | 26 |
| 50.30 | 19 |
| 57.81 | 18 |
| 59.15 | 32 |
| 65.80 | 15 |

Atomic structure:
```
DyHoNi2Sn
1.0
3.628 0.000 0.000
0.000 1.996 6.939
0.000 -1.996 6.939
Dy Ho Ni Sn
1 1 2 1
direct
0.000 0.000 0.000 Dy
0.000 0.727 0.727 Ho
0.500 0.166 0.166 Ni
0.500 0.561 0.561 Ni
0.500 0.363 0.363 Sn
```